(1)
Simulated XRD peak list
Compound: VCdAg2C
Radiation: a wavelength of 1.5418 Å
Structure: a GGA-PBE-relaxed structure
Kinematic intensities with the Lorentz-polarization factor, no thermal factor.

The 10 most intense peaks (10° ≤ 2θ ≤ 90°), in order of rising 2θ:
two_theta	I_rel
22.1	76
28.1	52
33.1	42
34.7	100
41.5	59
45.2	28
49.9	34
55.2	25
58.0	42
69.4	24

Crystal structure
a b c (Å): 5.169 5.169 4.030
angles (deg): 90.00 90.00 90.00
Sites, in units of the cell vectors:
V (0.000, 0.000, 0.000)
Cd (0.500, 0.500, 0.500)
Ag (0.000, 0.500, 0.500)
Ag (0.500, 0.000, 0.500)
C (0.500, 0.500, 0.000)

---

(2)
Simulated XRD peak list
Compound: SmHoEr4
Radiation: a wavelength of 1.5418 Å
Structure: a GGA-PBE-relaxed structure
Kinematic intensities with the Lorentz-polarization factor, no thermal factor.

The 10 most intense peaks (10° ≤ 2θ ≤ 90°), in order of rising 2θ:
two_theta	I_rel
27.6	50
30.3	15
31.0	55
31.5	95
35.6	100
42.0	33
53.9	21
55.4	19
58.1	24
63.4	52

Crystal structure
a b c (Å): 3.426 5.771 9.804
angles (deg): 90.00 90.00 90.00
Sites, in units of the cell vectors:
Sm (0.000, 0.000, 0.000)
Ho (0.500, 0.500, 0.500)
Er (0.000, 0.500, 0.190)
Er (0.000, 0.500, 0.810)
Er (0.500, 0.000, 0.314)
Er (0.500, 0.000, 0.686)

---

(3)
Simulated XRD peak list
Compound: Cd2Ag4Au5
Radiation: a wavelength of 1.5418 Å
Structure: a GGA-PBE-relaxed structure
Kinematic intensities with the Lorentz-polarization factor, no thermal factor.

The 10 most intense peaks (10° ≤ 2θ ≤ 90°), in order of rising 2θ:
two_theta	I_rel
25.4	26
34.5	97
36.2	35
37.4	77
38.3	100
39.4	49
40.5	37
42.6	33
46.9	47
72.8	28

Crystal structure
a b c (Å): 6.584 16.549 3.878
angles (deg): 90.00 90.00 90.00
Sites, in units of the cell vectors:
Cd (0.025, 0.213, 0.000)
Cd (0.475, 0.713, 0.000)
Cd (0.525, 0.287, 0.000)
Cd (0.975, 0.787, 0.000)
Ag (0.093, 0.623, 0.000)
Ag (0.196, 0.956, 0.000)
Ag (0.304, 0.456, 0.000)
Ag (0.407, 0.123, 0.000)
Ag (0.593, 0.877, 0.000)
Ag (0.696, 0.544, 0.000)
Ag (0.804, 0.044, 0.000)
Ag (0.907, 0.377, 0.000)
Au (0.000, 0.500, 0.500)
Au (0.107, 0.085, 0.500)
Au (0.205, 0.326, 0.500)
Au (0.295, 0.826, 0.500)
Au (0.393, 0.585, 0.500)
Au (0.500, 0.000, 0.500)
Au (0.607, 0.415, 0.500)
Au (0.705, 0.174, 0.500)
Au (0.795, 0.674, 0.500)
Au (0.893, 0.915, 0.500)